Starting from a cell relaxed with GGA-PBE, the XRD peak list of CdSi17Ge14 was simulated for Cu Kα X-rays.

Cell and atoms:
a = 5.624 Å, b = 3.936 Å, c = 31.847 Å
α = 90.00°, β = 90.11°, γ = 90.00°
Space group Pm (No. 6)
Symmetry-distinct sites (fractional):
Cd 0.000 0.000 0.000 [1 per cell]
Si 0.017 0.000 0.249 [1 per cell]
Si 0.018 0.000 0.499 [1 per cell]
Si 0.018 0.000 0.748 [1 per cell]
Si 0.030 0.000 0.627 [1 per cell]
Si 0.272 0.500 0.128 [1 per cell]
Si 0.272 0.500 0.627 [1 per cell]
Si 0.282 0.500 0.377 [1 per cell]
Si 0.528 0.500 0.187 [1 per cell]
Si 0.529 0.500 0.687 [1 per cell]
Si 0.530 0.500 0.437 [1 per cell]
Si 0.536 0.500 0.935 [1 per cell]
Si 0.763 0.000 0.932 [1 per cell]
Si 0.766 0.000 0.189 [1 per cell]
Si 0.771 0.000 0.439 [1 per cell]
Si 0.772 0.000 0.687 [1 per cell]
Si 0.773 0.000 0.069 [1 per cell]
Si 0.780 0.000 0.809 [1 per cell]
Ge 0.017 0.000 0.872 [1 per cell]
Ge 0.026 0.000 0.129 [1 per cell]
Ge 0.030 0.000 0.377 [1 per cell]
Ge 0.269 0.500 0.248 [1 per cell]
Ge 0.271 0.500 0.499 [1 per cell]
Ge 0.271 0.500 0.748 [1 per cell]
Ge 0.275 0.500 0.875 [1 per cell]
Ge 0.314 0.500 0.000 [1 per cell]
Ge 0.518 0.500 0.313 [1 per cell]
Ge 0.518 0.500 0.564 [1 per cell]
Ge 0.530 0.500 0.811 [1 per cell]
Ge 0.532 0.500 0.068 [1 per cell]
Ge 0.782 0.000 0.312 [1 per cell]
Ge 0.784 0.000 0.564 [1 per cell]

Principal peaks in the range 15 to 90 degrees two-theta, low angle first:
d (Å), 2θ/deg, I (rel.)
3.249, 27.45, 93.0
3.225, 27.66, 100.0
1.990, 45.58, 22.9
1.984, 45.73, 90.5
1.968, 46.12, 23.1
1.695, 54.09, 30.1
1.693, 54.18, 24.9
1.683, 54.51, 26.2
1.399, 66.85, 14.1
1.139, 85.17, 14.8